The following is a calculated XRD peak list of ScPaTc2. It was derived from a cell relaxed with PBE, using Cu Kα, 1.54184 Å.
Kinematic intensities with the Lorentz-polarization factor, no thermal factor.

Peak list (10 most intense, 10° ≤ 2θ ≤ 90°, by angle)
2θ = 23.1°, I 34
2θ = 26.7°, I 3
2θ = 38.1°, I 100
2θ = 45.0°, I 19
2θ = 55.0°, I 17
2θ = 60.4°, I 8
2θ = 68.8°, I 35
2θ = 73.7°, I 6
2θ = 81.5°, I 11
2θ = 86.1°, I 7

Crystal structure
```
ScPaTc2
1.0
0.0000 3.3406 3.3406
3.3406 0.0000 3.3406
3.3406 3.3406 0.0000
Sc Pa Tc
1 1 2
direct
0.0000 0.0000 0.0000
0.5000 0.5000 0.5000
0.2500 0.2500 0.2500
0.7500 0.7500 0.7500
```